# 1
For Co8Sn, the PBE geometry in OQMD gives the theoretical powder XRD pattern in this record (Cu Ka).
Lines closer than 0.1° are merged.

The 6 most intense peaks (2θ from 10° to 90°), in order of falling intensity:
2theta, I (rel.)
45.0, 100
45.2, 97
44.4, 94
42.5, 85
52.2, 38
51.9, 37

Structural model:
abc: 4.281 4.281 28.538
angles: 90.07 90.07 48.33
Fractional coordinates of all 18 atoms:
Co: 0.049 0.049 0.177
Co: 0.049 0.049 0.904
Co: 0.150 0.150 0.986
Co: 0.251 0.251 0.069
Co: 0.251 0.251 0.795
Co: 0.349 0.349 0.151
Co: 0.350 0.350 0.876
Co: 0.450 0.450 0.959
Co: 0.550 0.550 0.041
Co: 0.650 0.650 0.124
Co: 0.651 0.651 0.849
Co: 0.749 0.749 0.205
Co: 0.749 0.749 0.931
Co: 0.850 0.850 0.014
Co: 0.951 0.951 0.096
Co: 0.951 0.951 0.823
Sn: 0.451 0.451 0.246
Sn: 0.549 0.549 0.754

---

# 2
For CoSn2Te, the PBE geometry in OQMD gives the theoretical powder XRD pattern in this record (Cu Ka).
Lines closer than 0.1° are merged.

The 6 most intense peaks (2θ from 10° to 90°), in order of falling intensity:
2theta, I (rel.)
35.5, 100
63.8, 37
51.1, 18
86.0, 17
75.2, 11
21.5, 4

Structural model:
abc: 5.056 5.056 5.056
angles: 60.00 60.00 60.00
Fractional coordinates of all 4 atoms:
Co: 0.000 0.000 0.000
Sn: 0.250 0.250 0.250
Sn: 0.500 0.500 0.500
Te: 0.750 0.750 0.750

---

# 3
For Y2CoSn6, the PBE geometry in OQMD gives the theoretical powder XRD pattern in this record (Cu Ka).
Lines closer than 0.1° are merged.

The 6 most intense peaks (2θ from 10° to 90°), in order of falling intensity:
2theta, I (rel.)
34.9, 100
31.1, 52
31.3, 35
40.7, 32
41.6, 30
59.6, 21

Structural model:
abc: 11.648 11.648 4.437
angles: 90.00 90.00 158.52
Fractional coordinates of all 9 atoms:
Y: 0.178 0.822 0.000
Y: 0.822 0.178 0.000
Co: 0.500 0.500 0.500
Sn: 0.068 0.932 0.500
Sn: 0.295 0.705 0.500
Sn: 0.432 0.568 0.000
Sn: 0.568 0.432 0.000
Sn: 0.705 0.295 0.500
Sn: 0.932 0.068 0.500

---

# 4
For Zr2Co3Sn2, the PBE geometry in OQMD gives the theoretical powder XRD pattern in this record (Cu Ka).
Lines closer than 0.1° are merged.

The 6 most intense peaks (2θ from 10° to 90°), in order of falling intensity:
2theta, I (rel.)
41.1, 100
74.8, 25
28.7, 20
59.5, 16
75.0, 8
89.1, 6

Structural model:
abc: 7.594 7.594 7.594
angles: 33.65 33.65 33.65
Fractional coordinates of all 7 atoms:
Zr: 0.000 0.000 0.000
Zr: 0.493 0.493 0.493
Co: 0.369 0.369 0.369
Co: 0.620 0.620 0.620
Co: 0.874 0.874 0.874
Sn: 0.243 0.243 0.243
Sn: 0.748 0.748 0.748

---

# 5
For Sr3Co2, the PBE geometry in OQMD gives the theoretical powder XRD pattern in this record (Cu Ka).
Lines closer than 0.1° are merged.

The 6 most intense peaks (2θ from 10° to 90°), in order of falling intensity:
2theta, I (rel.)
27.1, 100
40.7, 45
36.6, 35
28.4, 21
48.9, 19
49.5, 19

Structural model:
abc: 7.778 7.778 7.778
angles: 59.20 59.20 59.20
Fractional coordinates of all 10 atoms:
Sr: 0.111 0.750 0.389
Sr: 0.250 0.611 0.889
Sr: 0.389 0.111 0.750
Sr: 0.611 0.889 0.250
Sr: 0.750 0.389 0.111
Sr: 0.889 0.250 0.611
Co: 0.193 0.193 0.193
Co: 0.307 0.307 0.307
Co: 0.693 0.693 0.693
Co: 0.807 0.807 0.807

---

# 6
For Ta25Co4, the PBE geometry in OQMD gives the theoretical powder XRD pattern in this record (Cu Ka).
Lines closer than 0.1° are merged.

The 6 most intense peaks (2θ from 10° to 90°), in order of falling intensity:
2theta, I (rel.)
37.6, 100
41.8, 47
68.0, 29
45.6, 24
43.7, 11
65.1, 11

Structural model:
abc: 8.779 8.779 8.779
angles: 109.47 109.47 109.47
Fractional coordinates of all 29 atoms:
Ta: 0.000 0.000 0.000
Ta: 0.000 0.187 0.371
Ta: 0.000 0.371 0.187
Ta: 0.000 0.414 0.689
Ta: 0.000 0.689 0.414
Ta: 0.185 0.813 0.813
Ta: 0.187 0.000 0.371
Ta: 0.187 0.371 0.000
Ta: 0.275 0.586 0.586
Ta: 0.311 0.311 0.725
Ta: 0.311 0.725 0.311
Ta: 0.371 0.000 0.187
Ta: 0.371 0.187 0.000
Ta: 0.414 0.000 0.689
Ta: 0.414 0.689 0.000
Ta: 0.586 0.275 0.586
Ta: 0.586 0.586 0.275
Ta: 0.629 0.629 0.815
Ta: 0.629 0.815 0.629
Ta: 0.689 0.000 0.414
Ta: 0.689 0.414 0.000
Ta: 0.725 0.311 0.311
Ta: 0.813 0.185 0.813
Ta: 0.813 0.813 0.185
Ta: 0.815 0.629 0.629
Co: 0.000 0.000 0.618
Co: 0.000 0.618 0.000
Co: 0.382 0.382 0.382
Co: 0.618 0.000 0.000

---

# 7
For Ta13Co16, the PBE geometry in OQMD gives the theoretical powder XRD pattern in this record (Cu Ka).
Lines closer than 0.1° are merged.

The 6 most intense peaks (2θ from 10° to 90°), in order of falling intensity:
2theta, I (rel.)
41.3, 100
45.8, 27
33.4, 26
38.8, 26
50.1, 25
75.2, 22

Structural model:
abc: 8.041 8.041 8.041
angles: 109.47 109.47 109.47
Fractional coordinates of all 29 atoms:
Ta: 0.000 0.000 0.000
Ta: 0.000 0.426 0.712
Ta: 0.000 0.712 0.426
Ta: 0.286 0.574 0.574
Ta: 0.288 0.288 0.714
Ta: 0.288 0.714 0.288
Ta: 0.426 0.000 0.712
Ta: 0.426 0.712 0.000
Ta: 0.574 0.286 0.574
Ta: 0.574 0.574 0.286
Ta: 0.712 0.000 0.426
Ta: 0.712 0.426 0.000
Ta: 0.714 0.288 0.288
Co: 0.000 0.000 0.691
Co: 0.000 0.190 0.372
Co: 0.000 0.372 0.190
Co: 0.000 0.691 0.000
Co: 0.182 0.810 0.810
Co: 0.190 0.000 0.372
Co: 0.190 0.372 0.000
Co: 0.309 0.309 0.309
Co: 0.372 0.000 0.190
Co: 0.372 0.190 0.000
Co: 0.628 0.628 0.818
Co: 0.628 0.818 0.628
Co: 0.691 0.000 0.000
Co: 0.810 0.182 0.810
Co: 0.810 0.810 0.182
Co: 0.818 0.628 0.628

---

# 8
For Ta8Co5, the PBE geometry in OQMD gives the theoretical powder XRD pattern in this record (Cu Ka).
Lines closer than 0.1° are merged.

The 6 most intense peaks (2θ from 10° to 90°), in order of falling intensity:
2theta, I (rel.)
39.1, 100
40.0, 97
43.0, 93
21.1, 46
70.6, 41
41.6, 38

Structural model:
abc: 8.950 8.950 8.950
angles: 34.70 34.70 34.70
Fractional coordinates of all 13 atoms:
Ta: 0.082 0.583 0.583
Ta: 0.150 0.150 0.150
Ta: 0.417 0.417 0.918
Ta: 0.417 0.918 0.417
Ta: 0.583 0.082 0.583
Ta: 0.583 0.583 0.082
Ta: 0.850 0.850 0.850
Ta: 0.918 0.417 0.417
Co: 0.046 0.046 0.046
Co: 0.333 0.333 0.333
Co: 0.500 0.500 0.500
Co: 0.667 0.667 0.667
Co: 0.954 0.954 0.954

---

# 9
For Ta2Co13, the PBE geometry in OQMD gives the theoretical powder XRD pattern in this record (Cu Ka).
Lines closer than 0.1° are merged.

The 6 most intense peaks (2θ from 10° to 90°), in order of falling intensity:
2theta, I (rel.)
47.2, 100
46.2, 71
42.5, 49
48.4, 44
43.8, 27
39.7, 26

Structural model:
abc: 8.774 8.774 4.537
angles: 90.00 90.00 90.00
Fractional coordinates of all 30 atoms:
Ta: 0.113 0.113 0.000
Ta: 0.387 0.613 0.500
Ta: 0.613 0.387 0.500
Ta: 0.887 0.887 0.000
Co: 0.000 0.000 0.500
Co: 0.036 0.374 0.000
Co: 0.064 0.267 0.500
Co: 0.126 0.536 0.500
Co: 0.182 0.818 0.249
Co: 0.182 0.818 0.751
Co: 0.233 0.564 0.000
Co: 0.267 0.064 0.500
Co: 0.318 0.318 0.251
Co: 0.318 0.318 0.749
Co: 0.374 0.036 0.000
Co: 0.436 0.767 0.000
Co: 0.464 0.874 0.500
Co: 0.500 0.500 0.000
Co: 0.536 0.126 0.500
Co: 0.564 0.233 0.000
Co: 0.626 0.964 0.000
Co: 0.682 0.682 0.251
Co: 0.682 0.682 0.749
Co: 0.733 0.936 0.500
Co: 0.767 0.436 0.000
Co: 0.818 0.182 0.249
Co: 0.818 0.182 0.751
Co: 0.874 0.464 0.500
Co: 0.936 0.733 0.500
Co: 0.964 0.626 0.000

---

# 10
For Ta5Co, the PBE geometry in OQMD gives the theoretical powder XRD pattern in this record (Cu Ka).
Lines closer than 0.1° are merged.

The 6 most intense peaks (2θ from 10° to 90°), in order of falling intensity:
2theta, I (rel.)
40.0, 100
38.2, 37
70.1, 19
62.5, 17
69.4, 15
38.4, 14

Structural model:
abc: 5.415 5.415 8.184
angles: 90.00 90.00 120.00
Fractional coordinates of all 12 atoms:
Ta: 0.168 0.337 0.250
Ta: 0.168 0.832 0.250
Ta: 0.333 0.667 0.560
Ta: 0.333 0.667 0.940
Ta: 0.337 0.168 0.750
Ta: 0.663 0.832 0.250
Ta: 0.667 0.333 0.060
Ta: 0.667 0.333 0.440
Ta: 0.832 0.168 0.750
Ta: 0.832 0.663 0.750
Co: 0.000 0.000 0.000
Co: 0.000 0.000 0.500

---

# 11
For Ta7Co5, the PBE geometry in OQMD gives the theoretical powder XRD pattern in this record (Cu Ka).
Lines closer than 0.1° are merged.

The 6 most intense peaks (2θ from 10° to 90°), in order of falling intensity:
2theta, I (rel.)
42.0, 100
42.5, 81
39.3, 65
35.3, 38
72.7, 31
11.0, 30

Structural model:
abc: 5.088 5.088 16.110
angles: 90.00 90.00 120.00
Fractional coordinates of all 24 atoms:
Ta: 0.000 0.000 0.107
Ta: 0.000 0.000 0.393
Ta: 0.000 0.000 0.607
Ta: 0.000 0.000 0.893
Ta: 0.000 0.500 0.000
Ta: 0.000 0.500 0.500
Ta: 0.333 0.667 0.165
Ta: 0.333 0.667 0.335
Ta: 0.500 0.000 0.000
Ta: 0.500 0.000 0.500
Ta: 0.500 0.500 0.000
Ta: 0.500 0.500 0.500
Ta: 0.667 0.333 0.665
Ta: 0.667 0.333 0.835
Co: 0.162 0.323 0.750
Co: 0.162 0.838 0.750
Co: 0.323 0.162 0.250
Co: 0.333 0.667 0.635
Co: 0.333 0.667 0.865
Co: 0.667 0.333 0.135
Co: 0.667 0.333 0.365
Co: 0.677 0.838 0.750
Co: 0.838 0.162 0.250
Co: 0.838 0.677 0.250